# 1
Simulated powder diffractogram
Compound: LaSO4F
Radiation: Cu Kα (weighted mean of Kα1 and Kα2)
Structure: a DFT-relaxed cell (PBE, Alexandria)
Lines closer than 0.1° are merged.

The 10 most intense peaks (10° ≤ 2θ ≤ 90°), by angle:
2θ (°)  I/Imax
13.64  77.8
18.95  57.2
19.58  67.9
24.22  100.0
26.73  44.9
29.35  61.6
31.34  22.4
31.68  41.7
39.69  27.8
45.93  24.3

Structure:
Cell: 5.9608 5.9608 6.7225 Å, 101.75 101.75 76.11°
Sites, in units of the cell vectors:
1 La 0.2106 0.2106 0.1365
2 La 0.7894 0.7894 0.8635
3 S 0.3534 0.3534 0.7316
4 S 0.6466 0.6466 0.2684
5 O 0.1510 0.4750 0.8447
6 O 0.2652 0.2652 0.5169
7 O 0.4750 0.1510 0.8447
8 O 0.4882 0.4882 0.2541
9 O 0.5118 0.5118 0.7459
10 O 0.5250 0.8490 0.1553
11 O 0.7348 0.7348 0.4831
12 O 0.8490 0.5250 0.1553
13 F 0.0252 0.0252 0.8217
14 F 0.9748 0.9748 0.1783



# 2
Simulated powder diffractogram
Compound: Cs3Hg5As2
Radiation: Cu Kα (weighted mean of Kα1 and Kα2)
Structure: a DFT-relaxed cell (PBE, Alexandria)
Lines closer than 0.1° are merged.

The 10 most intense peaks (10° ≤ 2θ ≤ 90°), by angle:
2θ (°)  I/Imax
15.49  39.5
26.29  61.0
27.93  63.6
28.18  58.3
29.19  28.3
31.49  100.0
38.03  26.0
39.23  33.6
47.21  22.1
54.84  20.6

Structure:
Cell: 10.8824 10.8824 10.8824 Å, 116.56 78.65 138.56°
Sites, in units of the cell vectors:
1 Cs 0.1351 0.7231 0.8582
2 Cs 0.2500 0.2500 0.0000
3 Cs 0.3649 0.2231 0.5880
4 Cs 0.6351 0.7769 0.4120
5 Cs 0.7500 0.7500 0.0000
6 Cs 0.8649 0.2769 0.1418
7 Hg 0.0252 0.2500 0.7752
8 Hg 0.1436 0.3883 0.5320
9 Hg 0.2500 0.7500 0.5000
10 Hg 0.3564 0.8884 0.2447
11 Hg 0.4748 0.2500 0.2248
12 Hg 0.5252 0.7500 0.7752
13 Hg 0.6436 0.1116 0.7553
14 Hg 0.7500 0.2500 0.5000
15 Hg 0.8564 0.6116 0.4680
16 Hg 0.9748 0.7500 0.2248
17 As 0.1599 0.1364 0.2962
18 As 0.3401 0.6364 0.9765
19 As 0.6599 0.3636 0.0235
20 As 0.8401 0.8636 0.7038